Theoretical powder diffraction line list
Compound: Ti8P3C2
Radiation: a wavelength of 1.5418 Å
Structure: a DFT-relaxed cell (PBE, Alexandria)

Structural model:
```
13
Lattice="6.112 -3.042 0.000 6.112 3.042 0.000 -2.508 0.000 5.433" Properties=species:S:1:pos:R:3 pbc="T T T"
Ti 0.682 0.000 1.662
Ti 4.328 1.490 0.431
Ti 3.243 0.000 2.853
Ti 5.387 1.490 5.002
Ti 4.328 -1.490 0.431
Ti 6.473 0.000 2.580
Ti 5.387 -1.490 5.002
Ti 9.033 0.000 3.770
P 4.858 1.794 2.716
P 6.112 0.000 0.000
P 4.858 -1.794 2.716
C 2.759 0.000 0.722
C 6.957 0.000 4.711
```

The 8 most intense peaks (5 to 70 degrees two-theta), sorted by position:
2θ/deg, I/Imax
32.27, 49.7
32.98, 30.1
33.77, 48.5
34.34, 88.5
42.01, 100.0
42.76, 33.8
46.38, 34.5
52.35, 50.8